[1]
For Lu2MgS4, a DFT-relaxed cell (PBE, the Materials Project) gives the calculated PXRD pattern in this record (Cu Kα (λ = 1.5418 Å)).
Lines closer than 0.1° are merged.

```
data_Lu2MgS4
_chemical_formula_sum 'Lu16 Mg8 S32'
_cell_length_a 12.461
_cell_length_b 7.429
_cell_length_c 12.676
_cell_angle_alpha 90.00
_cell_angle_beta 90.00
_cell_angle_gamma 90.00
_space_group_name_H-M_alt 'P c a 21'
_space_group_IT_number 29
loop_
_space_group_symop_operation_xyz
'x,y,z'
'-x,-y,z+1/2'
'-x+1/2,y,z+1/2'
'x+1/2,-y,z'
loop_
_atom_site_label
_atom_site_fract_x
_atom_site_fract_y
_atom_site_fract_z
Lu1 0.109 0.117 0.000
Lu2 0.127 0.618 0.640
Lu3 0.134 0.370 0.305
Lu4 0.134 0.870 0.304
Mg1 0.110 0.620 0.003
Mg2 0.126 0.122 0.636
S1 0.014 0.124 0.190
S2 0.021 0.624 0.185
S3 0.034 0.624 0.445
S4 0.041 0.124 0.449
S5 0.213 0.120 0.819
S6 0.214 0.620 0.830
S7 0.232 0.367 0.091
S8 0.232 0.870 0.090
```

Peak list (10 most intense, 2θ = 10–80°, low angle first)
d_spacing	Rel. int.	index
4.468	30.2	2 1 1
3.496	100.0	2 0 3
3.427	33.2	1 2 1
3.104	31.2	1 2 2
2.705	62.1	3 2 1
2.537	52.4	3 2 2
2.065	33.1	1 2 5
1.967	25.1	5 2 2
1.864	27.2	6 0 3
1.858	24.8	0 4 0

=====

[2]
For KNb3CuO9, a DFT-relaxed cell (PBE, the Materials Project) gives the calculated PXRD pattern in this record (Cu Kα (λ = 1.5418 Å)).
Lines closer than 0.1° are merged.

```
data_KNb3CuO9
_chemical_formula_sum 'K4 Nb12 Cu4 O36'
_cell_length_a 8.980
_cell_length_b 10.270
_cell_length_c 7.840
_cell_angle_alpha 90.00
_cell_angle_beta 90.00
_cell_angle_gamma 90.00
_space_group_name_H-M_alt 'P n c 2'
_space_group_IT_number 30
loop_
_space_group_symop_operation_xyz
'x,y,z'
'-x,-y,z'
'-x,y+1/2,z+1/2'
'x,-y+1/2,z+1/2'
loop_
_atom_site_label
_atom_site_fract_x
_atom_site_fract_y
_atom_site_fract_z
K1 0.084 0.247 0.000
Nb1 0.197 0.562 0.765
Nb2 0.205 0.562 0.256
Nb3 0.431 0.247 0.753
Cu1 0.500 0.000 0.492
Cu2 0.500 0.000 0.999
O1 0.000 0.000 0.182
O2 0.000 0.000 0.805
O3 0.147 0.558 0.994
O4 0.148 0.749 0.243
O5 0.275 0.119 0.703
O6 0.275 0.123 0.278
O7 0.278 0.552 0.490
O8 0.416 0.613 0.812
O9 0.416 0.615 0.170
O10 0.443 0.184 0.992
```

Peak list (10 most intense, 2θ = 10–80°, low angle first)
d_spacing	Rel. int.	index
3.920	49.3	0 0 2
3.382	31.3	2 2 0
3.199	72.4	1 3 0
2.993	34.1	3 0 0
2.953	37.6	2 0 2
2.944	100.0	1 2 2
2.838	41.9	2 1 2
2.560	47.4	2 2 2
1.960	34.2	0 0 4
1.694	59.8	4 3 2

=====

[3]
For Cr5Si3, a DFT-relaxed cell (PBE, the Materials Project) gives the calculated PXRD pattern in this record (Cu Kα (λ = 1.5418 Å)).
Lines closer than 0.1° are merged.

```
data_Cr5Si3
_chemical_formula_sum 'Cr20 Si12'
_cell_length_a 9.087
_cell_length_b 9.087
_cell_length_c 4.579
_cell_angle_alpha 90.00
_cell_angle_beta 90.00
_cell_angle_gamma 90.00
_space_group_name_H-M_alt 'I 4/m c m'
_space_group_IT_number 140
_space_group_name_Hall '-I 4 2c'
loop_
_atom_site_label
_atom_site_fract_x
_atom_site_fract_y
_atom_site_fract_z
Cr1 0.000 0.500 0.250
Cr2 0.076 0.228 0.000
Si1 0.000 0.000 0.250
Si2 0.167 0.333 0.500
```

Peak list (10 most intense, 2θ = 10–80°, low angle first)
d_spacing	Rel. int.	index
2.289	25.0	0 0 2
2.272	16.1	4 0 0
2.208	58.8	3 2 1
2.044	45.1	2 0 2
2.032	63.9	4 2 0
1.986	100.0	4 1 1
1.864	48.4	2 2 2
1.583	13.1	5 2 1
1.263	13.1	6 0 2
1.255	19.6	4 1 3